(1)
This entry pairs a crystal structure of Ba2MgFe2B2P4O18 with its calculated powder XRD pattern. Radiation: Cu Kα. Structure: the GGA+U geometry in the Materials Project.
Peak positions follow from Bragg's law for the DFT cell and can differ from measured ones.

Cell: 5.392 8.347 9.128 Å, 85.75 89.63 79.98°
Fractional coordinates of all 29 atoms:
1 Ba 0.000 0.000 0.000
2 Ba 0.490 0.223 0.416
3 Mg 0.028 0.663 0.262
4 Fe 0.049 0.897 0.565
5 Fe 0.455 0.302 0.875
6 B 0.681 0.604 0.944
7 B 0.799 0.590 0.497
8 P 0.491 0.802 0.303
9 P 0.528 0.906 0.787
10 P 0.974 0.370 0.135
11 P 0.980 0.284 0.649
12 O 0.085 0.422 0.278
13 O 0.182 0.279 0.043
14 O 0.244 0.322 0.671
15 O 0.269 0.863 0.755
16 O 0.317 0.755 0.186
17 O 0.343 0.930 0.396
18 O 0.492 0.044 0.895
19 O 0.515 0.520 0.903
20 O 0.579 0.635 0.406
21 O 0.679 0.943 0.651
22 O 0.706 0.762 0.885
23 O 0.733 0.852 0.236
24 O 0.763 0.272 0.162
25 O 0.791 0.442 0.575
26 O 0.846 0.237 0.788
27 O 0.872 0.553 0.057
28 O 0.988 0.676 0.488
29 O 0.990 0.157 0.531

Main lines, low angle first (2θ = 15–90°):
21.65°, d = 4.104 Å, I 62; 24.47°, d = 3.637 Å, I 61; 25.03°, d = 3.557 Å, I 63; 25.70°, d = 3.467 Å, I 100; 25.87°, d = 3.444 Å, I 95; 27.35°, d = 3.260 Å, I 69; 29.78°, d = 3.000 Å, I 100; 30.96°, d = 2.888 Å, I 77

(2)
This entry pairs a crystal structure of Ba2MgFe2B2P4O18 with its calculated powder XRD pattern. Radiation: Cu Kα. Structure: the GGA+U geometry in the Materials Project.
Peak positions follow from Bragg's law for the DFT cell and can differ from measured ones.

Cell: 5.412 8.211 8.351 Å, 89.73 87.64 80.57°
Fractional coordinates of all 29 atoms:
1 Ba 0.000 0.000 0.000
2 Ba 0.440 0.238 0.624
3 Mg 0.208 0.620 0.306
4 Fe 0.459 0.316 0.103
5 Fe 0.981 0.919 0.522
6 B 0.605 0.660 0.053
7 B 0.834 0.576 0.572
8 P 0.499 0.928 0.254
9 P 0.520 0.821 0.748
10 P 0.921 0.415 0.876
11 P 0.941 0.307 0.371
12 O 0.167 0.309 0.926
13 O 0.190 0.374 0.330
14 O 0.247 0.863 0.291
15 O 0.274 0.926 0.699
16 O 0.449 0.066 0.126
17 O 0.449 0.560 0.127
18 O 0.462 0.765 0.924
19 O 0.589 0.661 0.644
20 O 0.617 0.981 0.402
21 O 0.691 0.782 0.168
22 O 0.707 0.311 0.881
23 O 0.734 0.925 0.743
24 O 0.750 0.451 0.458
25 O 0.820 0.253 0.224
26 O 0.852 0.573 0.983
27 O 0.982 0.472 0.701
28 O 0.988 0.676 0.495
29 O 0.995 0.169 0.498

Main lines, low angle first (2θ = 15–90°):
21.33°, d = 4.165 Å, I 34; 25.34°, d = 3.515 Å, I 37; 26.58°, d = 3.354 Å, I 46; 27.71°, d = 3.219 Å, I 100; 27.79°, d = 3.210 Å, I 40; 29.83°, d = 2.996 Å, I 56; 30.87°, d = 2.896 Å, I 64; 33.60°, d = 2.667 Å, I 59

(3)
This entry pairs a crystal structure of Ba2MnB6O12 with its calculated powder XRD pattern. Radiation: Cu Kα. Structure: the GGA+U geometry in the Materials Project.
Peak positions follow from Bragg's law for the DFT cell and can differ from measured ones.

Cell: 7.138 7.138 7.138 Å, 60.50 60.50 60.50°
Fractional coordinates of all 21 atoms:
1 Ba 0.208 0.208 0.208
2 Ba 0.792 0.792 0.792
3 Mn 0.000 0.000 0.000
4 B 0.245 0.360 0.634
5 B 0.360 0.634 0.245
6 B 0.366 0.755 0.640
7 B 0.634 0.245 0.360
8 B 0.640 0.366 0.755
9 B 0.755 0.640 0.366
10 O 0.087 0.321 0.839
11 O 0.161 0.913 0.679
12 O 0.199 0.574 0.462
13 O 0.321 0.839 0.087
14 O 0.426 0.538 0.801
15 O 0.462 0.199 0.574
16 O 0.538 0.801 0.426
17 O 0.574 0.462 0.199
18 O 0.679 0.161 0.913
19 O 0.801 0.426 0.538
20 O 0.839 0.087 0.321
21 O 0.913 0.679 0.161

Main lines, low angle first (2θ = 15–90°):
17.51°, d = 5.066 Å, I 30; 24.76°, d = 3.596 Å, I 95; 29.19°, d = 3.060 Å, I 44; 29.38°, d = 3.040 Å, I 100; 38.79°, d = 2.322 Å, I 33; 39.66°, d = 2.272 Å, I 40; 43.71°, d = 2.071 Å, I 34; 46.56°, d = 1.950 Å, I 37

(4)
This entry pairs a crystal structure of Ni2BiBP2O10 with its calculated powder XRD pattern. Radiation: Cu Kα. Structure: the GGA+U geometry in the Materials Project.
Peak positions follow from Bragg's law for the DFT cell and can differ from measured ones.

Cell: 5.111 11.359 6.401 Å, 90.00 107.04 90.00°
Fractional coordinates of all 32 atoms:
1 Ni 0.151 0.105 0.165
2 Ni 0.151 0.395 0.165
3 Ni 0.849 0.605 0.835
4 Ni 0.849 0.895 0.835
5 Bi 0.250 0.750 0.559
6 Bi 0.750 0.250 0.441
7 B 0.440 0.750 0.013
8 B 0.560 0.250 0.987
9 P 0.292 0.065 0.714
10 P 0.292 0.435 0.714
11 P 0.708 0.565 0.286
12 P 0.708 0.935 0.286
13 O 0.084 0.049 0.846
14 O 0.084 0.451 0.846
15 O 0.145 0.125 0.492
16 O 0.145 0.375 0.492
17 O 0.153 0.750 0.867
18 O 0.374 0.250 0.126
19 O 0.430 0.551 0.681
20 O 0.430 0.949 0.681
21 O 0.469 0.645 0.155
22 O 0.469 0.855 0.155
23 O 0.531 0.145 0.845
24 O 0.531 0.355 0.845
25 O 0.570 0.051 0.319
26 O 0.570 0.449 0.319
27 O 0.626 0.750 0.874
28 O 0.847 0.250 0.133
29 O 0.855 0.625 0.508
30 O 0.855 0.875 0.508
31 O 0.916 0.549 0.154
32 O 0.916 0.951 0.154

Main lines, low angle first (2θ = 15–90°):
16.45°, d = 5.388 Å, I 42; 21.16°, d = 4.198 Å, I 31; 21.34°, d = 4.163 Å, I 40; 27.63°, d = 3.228 Å, I 55; 29.85°, d = 2.993 Å, I 100; 30.61°, d = 2.921 Å, I 38; 30.81°, d = 2.902 Å, I 26; 33.26°, d = 2.694 Å, I 29

(5)
This entry pairs a crystal structure of Cr3B7BrO13 with its calculated powder XRD pattern. Radiation: Cu Kα. Structure: the GGA+U geometry in the Materials Project.
Peak positions follow from Bragg's law for the DFT cell and can differ from measured ones.

Cell: 8.694 8.694 8.694 Å, 60.00 60.00 60.00°
Fractional coordinates of all 48 atoms:
1 Cr 0.250 0.250 0.750
2 Cr 0.250 0.750 0.250
3 Cr 0.250 0.750 0.750
4 Cr 0.750 0.250 0.250
5 Cr 0.750 0.250 0.750
6 Cr 0.750 0.750 0.250
7 B 0.000 0.000 0.500
8 B 0.000 0.500 0.000
9 B 0.000 0.500 0.500
10 B 0.010 0.330 0.330
11 B 0.330 0.010 0.330
12 B 0.330 0.330 0.010
13 B 0.330 0.330 0.330
14 B 0.500 0.000 0.000
15 B 0.500 0.000 0.500
16 B 0.500 0.500 0.000
17 B 0.510 0.830 0.830
18 B 0.830 0.510 0.830
19 B 0.830 0.830 0.510
20 B 0.830 0.830 0.830
21 Br 0.000 0.000 0.000
22 Br 0.500 0.500 0.500
23 O 0.005 0.454 0.855
24 O 0.005 0.686 0.454
25 O 0.005 0.855 0.686
26 O 0.186 0.355 0.505
27 O 0.186 0.505 0.954
28 O 0.186 0.954 0.355
29 O 0.250 0.250 0.250
30 O 0.355 0.186 0.954
31 O 0.355 0.505 0.186
32 O 0.355 0.954 0.505
33 O 0.454 0.005 0.686
34 O 0.454 0.686 0.855
35 O 0.454 0.855 0.005
36 O 0.505 0.186 0.355
37 O 0.505 0.355 0.954
38 O 0.505 0.954 0.186
39 O 0.686 0.005 0.855
40 O 0.686 0.454 0.005
41 O 0.686 0.855 0.454
42 O 0.750 0.750 0.750
43 O 0.855 0.005 0.454
44 O 0.855 0.454 0.686
45 O 0.855 0.686 0.005
46 O 0.954 0.186 0.505
47 O 0.954 0.355 0.186
48 O 0.954 0.505 0.355

Main lines, low angle first (2θ = 15–90°):
29.05°, d = 3.074 Å, I 100; 32.57°, d = 2.749 Å, I 83; 41.55°, d = 2.173 Å, I 60; 43.55°, d = 2.078 Å, I 26; 51.50°, d = 1.775 Å, I 31; 62.27°, d = 1.491 Å, I 25; 68.23°, d = 1.375 Å, I 30; 75.81°, d = 1.255 Å, I 28